This entry pairs a crystal structure of K2LiErCl6 with its theoretical PXRD pattern. Radiation: λ = 1.5418 Å (Cu Kα). Structure: a DFT-relaxed cell (GGA-PBE, the Materials Project).
Peak positions follow from Bragg's law for the DFT cell and can differ from measured ones.

The 10 most intense peaks (5° ≤ 2θ ≤ 70°), in order of rising 2θ:
2θ (°), Rel. int.
14.84, 100.0
17.15, 59.0
24.35, 62.4
28.63, 66.8
34.70, 84.7
37.93, 33.0
38.95, 29.3
42.84, 28.5
49.89, 55.2
52.34, 24.4

Structure:
Cell lengths 10.3411, 10.3411, 10.3411 Å; angles 90.00, 90.00, 90.00 degrees
Space group Fm-3m (No. 225)
Unique sites:
K1 0.2500 0.2500 0.2500 x8
Li1 0.0000 0.0000 0.0000 x4
Er1 0.0000 0.0000 0.5000 x4
Cl1 0.0000 0.0000 0.2483 x24

This entry pairs a crystal structure of K2NdBr5 with its theoretical PXRD pattern. Radiation: λ = 1.5418 Å (Cu Kα). Structure: a DFT-relaxed cell (GGA-PBE, the Materials Project).
Peak positions follow from Bragg's law for the DFT cell and can differ from measured ones.

The 10 most intense peaks (5° ≤ 2θ ≤ 70°), in order of rising 2θ:
2θ (°), Rel. int.
12.17, 100.0
12.98, 61.5
25.40, 55.4
28.15, 77.8
29.04, 98.5
31.23, 77.2
32.57, 65.9
35.31, 65.2
38.75, 56.4
39.70, 50.6

Structure:
Cell lengths 13.6410, 9.2958, 8.5992 Å; angles 90.00, 90.00, 90.00 degrees
Space group Pnma (No. 62)
Unique sites:
K1 0.1710 0.0055 0.0499 x8
Nd1 0.0057 0.2500 0.5774 x4
Br1 0.0072 0.2500 0.9247 x4
Br2 0.0774 0.5434 0.6646 x8
Br3 0.1803 0.2500 0.3734 x4
Br4 0.2049 0.7500 0.3354 x4

This entry pairs a crystal structure of Y2Fe17C2 with its theoretical PXRD pattern. Radiation: λ = 1.5418 Å (Cu Kα). Structure: a DFT-relaxed cell (GGA-PBE, the Materials Project).
Peak positions follow from Bragg's law for the DFT cell and can differ from measured ones.

The 10 most intense peaks (5° ≤ 2θ ≤ 70°), in order of rising 2θ:
2θ (°), Rel. int.
29.92, 28.1
36.15, 34.7
37.68, 42.0
41.80, 75.2
42.08, 35.9
42.22, 46.6
42.43, 100.0
43.74, 65.1
47.46, 47.1
48.81, 26.2

Structure:
Cell lengths 9.6695, 8.5900, 6.4930 Å; angles 90.00, 98.48, 90.00 degrees
Space group C2/m (No. 12)
Unique sites:
Y1 0.1548 0.0000 0.3378 x4
Fe1 0.0000 0.2113 0.0000 x4
Fe2 0.0000 0.5000 0.5000 x2
Fe3 0.0960 0.5000 0.9040 x4
Fe4 0.0975 0.2538 0.6579 x8
Fe5 0.1429 0.3576 0.2852 x8
Fe6 0.1563 0.0000 0.8517 x4
Fe7 0.2500 0.2500 0.0000 x4
C1 0.2500 0.2500 0.5000 x4

This entry pairs a crystal structure of Na2NbSi2SnPO12 with its theoretical PXRD pattern. Radiation: λ = 1.5418 Å (Cu Kα). Structure: a DFT-relaxed cell (GGA-PBE, the Materials Project).
Peak positions follow from Bragg's law for the DFT cell and can differ from measured ones.

The 10 most intense peaks (5° ≤ 2θ ≤ 70°), in order of rising 2θ:
2θ (°), Rel. int.
13.82, 29.2
19.39, 86.1
19.78, 100.0
23.05, 41.7
27.84, 50.2
30.95, 86.9
34.62, 45.4
47.11, 31.6
50.90, 28.2
54.06, 25.1

Structure:
Cell lengths 15.5354, 8.9830, 9.1589 Å; angles 90.00, 124.47, 90.00 degrees
Space group Cc (No. 9)
Unique sites:
Na1 0.0000 0.0602 0.0000 x4
Na2 0.0717 0.2603 0.7407 x4
Nb1 0.2132 0.2504 0.1842 x4
Si1 0.1716 0.1078 0.4979 x4
Si2 0.3185 0.4583 0.0017 x4
Sn1 0.4189 0.2495 0.8067 x4
P1 0.4620 0.1023 0.5006 x4
O1 0.0550 0.3146 0.0142 x4
O2 0.0698 0.1764 0.4832 x4
O3 0.1664 0.0759 0.0176 x4
O4 0.1716 0.1368 0.3193 x4
O5 0.2365 0.3570 0.0180 x4
O6 0.2499 0.4260 0.3320 x4
O7 0.2732 0.1773 0.6722 x4
O8 0.3631 0.1776 0.3373 x4
O9 0.3987 0.3565 0.9839 x4
O10 0.3995 0.4447 0.6784 x4
O11 0.4650 0.1273 0.6689 x4
O12 0.4694 0.0646 0.9803 x4

This entry pairs a crystal structure of Rb4CaSe4O14 with its theoretical PXRD pattern. Radiation: λ = 1.5418 Å (Cu Kα). Structure: a DFT-relaxed cell (GGA-PBE, the Materials Project).
Peak positions follow from Bragg's law for the DFT cell and can differ from measured ones.

The 10 most intense peaks (5° ≤ 2θ ≤ 70°), in order of rising 2θ:
2θ (°), Rel. int.
22.34, 61.6
23.68, 44.2
24.08, 100.0
24.87, 50.3
25.80, 32.1
26.24, 38.8
26.67, 86.6
28.00, 35.1
29.50, 37.7
31.75, 59.9

Structure:
Cell lengths 7.9102, 8.0505, 8.2154 Å; angles 64.55, 82.53, 82.53 degrees
Space group P1 (No. 1)
Unique sites:
Rb1 0.0000 0.0000 0.0000 x1
Rb2 0.1412 0.3954 0.5017 x1
Rb3 0.2928 0.5845 0.9039 x1
Rb4 0.6105 0.7150 0.3941 x1
Ca1 0.6701 0.9606 0.7099 x1
Se1 0.0765 0.8923 0.4622 x1
Se2 0.4358 0.0818 0.9591 x1
Se3 0.6169 0.2952 0.3237 x1
Se4 0.8316 0.5069 0.9440 x1
O1 0.1115 0.1030 0.3059 x1
O2 0.2576 0.7577 0.5253 x1
O3 0.3827 0.9463 0.8573 x1
O4 0.4061 0.2980 0.7936 x1
O5 0.4656 0.4659 0.2566 x1
O6 0.5528 0.0836 0.4147 x1
O7 0.6581 0.0262 0.9516 x1
O8 0.6711 0.6326 0.8223 x1
O9 0.7356 0.2979 0.1172 x1
O10 0.7436 0.3106 0.4605 x1
O11 0.9072 0.6038 0.0564 x1
O12 0.9599 0.7864 0.3825 x1
O13 0.9645 0.9060 0.6488 x1
O14 0.9728 0.4095 0.8403 x1